(1)
Structure and theoretical PXRD pattern of NaP4Ru2O14 (a DFT-relaxed cell (GGA-PBE, Alexandria); Cu Ka).
Neutral-atom scattering factors, no anomalous dispersion.

Atomic structure:
```
NaP4Ru2O14
1.0
4.8737 0.0000 0.0000
-1.8614 6.7326 0.0000
-0.4064 -0.2590 8.1662
Na P Ru O
1 4 2 14
Direct
0.0000 0.0000 0.0000 Na
0.1466 0.3647 0.2613 P
0.1702 0.6263 0.7775 P
0.5447 0.7562 0.3245 P
0.7726 0.2366 0.7127 P
0.1587 0.9947 0.5189 Ru
0.6569 0.4930 0.0198 Ru
0.0047 0.6782 0.9213 O
0.0344 0.1862 0.3656 O
0.2830 0.8042 0.6731 O
0.3041 0.3096 0.1149 O
0.3509 0.8973 0.3326 O
0.3670 0.5349 0.3716 O
0.4158 0.5390 0.8304 O
0.5222 0.1971 0.5863 O
0.6270 0.7482 0.1446 O
0.7005 0.2430 0.8946 O
0.7936 0.7948 0.4528 O
0.8977 0.4496 0.2097 O
0.9521 0.4561 0.6643 O
0.9640 0.0924 0.7063 O
```

Principal peaks in the range 5 to 70 degrees two-theta, low angle first:
hkl 0 1 -1, 16.80 deg, rel. 100; hkl 0 1 1, 17.34 deg, rel. 60; hkl 1 0 -1, 21.31 deg, rel. 17; hkl 1 0 1, 22.39 deg, rel. 57; hkl 1 -1 1, 23.08 deg, rel. 22; hkl 1 1 0, 25.90 deg, rel. 33; hkl -1 1 2, 29.21 deg, rel. 65; hkl 1 -1 2, 30.20 deg, rel. 49; hkl 1 -2 1, 30.38 deg, rel. 25; hkl 0 2 2, 35.09 deg, rel. 23; hkl 1 2 -1, 37.90 deg, rel. 16; hkl 2 -1 3, 51.62 deg, rel. 18

(2)
Structure and theoretical PXRD pattern of Na3SbP2O9 (a DFT-relaxed cell (GGA-PBE, Alexandria); Cu Ka).
Neutral-atom scattering factors, no anomalous dispersion.

Atomic structure:
```
Na3SbP2O9
1.0
7.0824 0.0000 0.0000
0.0000 9.4010 0.0000
0.0000 0.0000 12.5861
Na Sb P O
12 4 8 36
Direct
0.1241 0.1045 0.1602 Na
0.1805 0.2567 0.7583 Na
0.2440 0.5856 0.5167 Na
0.2560 0.4144 0.0167 Na
0.3195 0.7433 0.2583 Na
0.3759 0.8955 0.6602 Na
0.6241 0.3955 0.8398 Na
0.6805 0.2433 0.2417 Na
0.7440 0.9144 0.4833 Na
0.7560 0.0856 0.9833 Na
0.8195 0.7567 0.7417 Na
0.8759 0.6045 0.3398 Na
0.0215 0.7463 0.0040 Sb
0.4785 0.2537 0.5040 Sb
0.5215 0.7537 0.9960 Sb
0.9785 0.2463 0.4960 Sb
0.2280 0.3741 0.2993 P
0.2367 0.9691 0.4230 P
0.2633 0.0309 0.9230 P
0.2720 0.6259 0.7993 P
0.7280 0.1259 0.7007 P
0.7367 0.5309 0.5770 P
0.7633 0.4691 0.0770 P
0.7720 0.8741 0.2007 P
0.0478 0.2885 0.3445 O
0.0498 0.0410 0.4718 O
0.0888 0.6964 0.8535 O
0.0934 0.9539 0.9870 O
0.2097 0.5295 0.3310 O
0.2247 0.3060 0.5567 O
0.2413 0.3362 0.1835 O
0.2414 0.8161 0.4603 O
0.2468 0.0113 0.8044 O
0.2532 0.9887 0.3044 O
0.2586 0.1839 0.9603 O
0.2587 0.6638 0.6835 O
0.2753 0.6940 0.0567 O
0.2903 0.4705 0.8310 O
0.4066 0.0461 0.4870 O
0.4112 0.3036 0.3535 O
0.4502 0.9590 0.9718 O
0.4522 0.7115 0.8445 O
0.5478 0.2115 0.6555 O
0.5498 0.4590 0.5282 O
0.5888 0.8036 0.1465 O
0.5934 0.5461 0.0130 O
0.7097 0.9705 0.6690 O
0.7247 0.1940 0.4433 O
0.7413 0.1638 0.8165 O
0.7414 0.6839 0.5397 O
0.7468 0.4887 0.1956 O
0.7532 0.5113 0.6956 O
0.7586 0.3161 0.0397 O
0.7587 0.8362 0.3165 O
0.7753 0.8060 0.9433 O
0.7903 0.0295 0.1690 O
0.9066 0.4539 0.5130 O
0.9112 0.1964 0.6465 O
0.9502 0.5410 0.0282 O
0.9522 0.7885 0.1555 O
```

Principal peaks in the range 5 to 70 degrees two-theta, low angle first:
hkl 0 1 1, 11.75 deg, rel. 100; hkl 0 0 2, 14.07 deg, rel. 32; hkl 0 2 0, 18.87 deg, rel. 18; hkl 0 1 3, 23.22 deg, rel. 14; hkl 2 1 1, 27.84 deg, rel. 43; hkl 0 0 4, 28.36 deg, rel. 11; hkl 2 0 2, 28.93 deg, rel. 14; hkl 0 3 1, 29.37 deg, rel. 20; hkl 2 2 0, 31.63 deg, rel. 13; hkl 2 1 3, 34.49 deg, rel. 14; hkl 2 2 2, 34.77 deg, rel. 11; hkl 2 1 5, 45.24 deg, rel. 8

(3)
Structure and theoretical PXRD pattern of Na3Sb3P2O14 (a DFT-relaxed cell (GGA-PBE, Alexandria); Cu Ka).
Neutral-atom scattering factors, no anomalous dispersion.

Atomic structure:
```
Na3Sb3P2O14
1.0
6.3926 0.0000 0.0000
0.0000 7.3247 0.0000
-3.9063 0.0000 11.9687
Na Sb P O
6 6 4 28
Direct
0.0000 0.0000 0.0000 Na
0.0000 0.5000 0.5000 Na
0.4844 0.2017 0.0685 Na
0.4844 0.2983 0.5685 Na
0.5156 0.7017 0.4315 Na
0.5156 0.7983 0.9315 Na
0.0000 0.0000 0.5000 Sb
0.0000 0.5000 0.0000 Sb
0.0312 0.2427 0.2580 Sb
0.0312 0.2573 0.7580 Sb
0.9688 0.7427 0.2420 Sb
0.9688 0.7573 0.7420 Sb
0.4119 0.7358 0.1614 P
0.4119 0.7642 0.6614 P
0.5881 0.2358 0.3386 P
0.5881 0.2642 0.8386 P
0.0341 0.7009 0.9024 O
0.0341 0.7991 0.4024 O
0.0694 0.0010 0.8059 O
0.0694 0.4990 0.3059 O
0.1213 0.1898 0.4223 O
0.1213 0.3102 0.9223 O
0.2941 0.7276 0.7518 O
0.2941 0.7724 0.2518 O
0.3203 0.5506 0.0989 O
0.3203 0.9494 0.5989 O
0.3478 0.1948 0.2637 O
0.3478 0.3052 0.7637 O
0.3890 0.6076 0.5808 O
0.3890 0.8924 0.0808 O
0.6110 0.1076 0.9192 O
0.6110 0.3924 0.4192 O
0.6522 0.6948 0.2363 O
0.6522 0.8052 0.7363 O
0.6797 0.0506 0.4011 O
0.6797 0.4494 0.9011 O
0.7059 0.2276 0.7482 O
0.7059 0.2724 0.2482 O
0.8787 0.6898 0.0777 O
0.8787 0.8102 0.5777 O
0.9306 0.5010 0.6941 O
0.9306 0.9990 0.1941 O
0.9659 0.2009 0.5976 O
0.9659 0.2991 0.0976 O
```

Principal peaks in the range 5 to 70 degrees two-theta, low angle first:
hkl 0 1 1, 14.18 deg, rel. 24; hkl 1 0 0, 14.58 deg, rel. 100; hkl 1 1 -1, 18.65 deg, rel. 20; hkl 0 2 0, 24.30 deg, rel. 21; hkl 0 2 2, 28.58 deg, rel. 76; hkl 1 0 -4, 28.88 deg, rel. 37; hkl 2 0 0, 29.39 deg, rel. 42; hkl 0 0 4, 29.86 deg, rel. 22; hkl 1 2 -2, 29.97 deg, rel. 42; hkl 1 2 2, 34.34 deg, rel. 25; hkl 2 2 -2, 37.81 deg, rel. 24; hkl 0 2 6, 52.20 deg, rel. 28

(4)
Structure and theoretical PXRD pattern of Na5Ti2Si2PO13 (a DFT-relaxed cell (GGA-PBE, Alexandria); Cu Ka).
Neutral-atom scattering factors, no anomalous dispersion.

Atomic structure:
```
Na5Ti2Si2PO13
1.0
5.4607 0.0000 0.0000
-0.0746 7.1565 0.0000
-1.6879 -2.5674 14.3743
Na Ti Si P O
10 4 4 2 26
Direct
0.1736 0.4213 0.2315 Na
0.2440 0.7437 0.4191 Na
0.2459 0.1227 0.9991 Na
0.3214 0.0327 0.6379 Na
0.3255 0.5398 0.6048 Na
0.6745 0.4602 0.3952 Na
0.6786 0.9673 0.3621 Na
0.7541 0.8773 0.0009 Na
0.7560 0.2563 0.5809 Na
0.8264 0.5787 0.7685 Na
0.1718 0.9305 0.2212 Ti
0.2214 0.6180 0.0107 Ti
0.7786 0.3820 0.9893 Ti
0.8282 0.0695 0.7788 Ti
0.3268 0.7951 0.8245 Si
0.3530 0.3582 0.8031 Si
0.6470 0.6418 0.1969 Si
0.6732 0.2049 0.1755 Si
0.1781 0.2266 0.4298 P
0.8219 0.7734 0.5702 P
0.0593 0.8754 0.7921 O
0.0824 0.4223 0.0671 O
0.0975 0.2408 0.7575 O
0.1008 0.7747 0.5606 O
0.1384 0.8267 0.0919 O
0.2354 0.0347 0.3639 O
0.2519 0.4016 0.3882 O
0.3208 0.5701 0.7697 O
0.3301 0.2308 0.5261 O
0.3583 0.8002 0.9362 O
0.4129 0.3934 0.9176 O
0.4134 0.7304 0.2493 O
0.4460 0.0980 0.2088 O
0.5540 0.9020 0.7912 O
0.5866 0.2696 0.7507 O
0.5871 0.6066 0.0824 O
0.6417 0.1998 0.0638 O
0.6699 0.7692 0.4739 O
0.6792 0.4299 0.2303 O
0.7481 0.5984 0.6118 O
0.7646 0.9653 0.6361 O
0.8616 0.1733 0.9081 O
0.8992 0.2253 0.4394 O
0.9025 0.7592 0.2425 O
0.9176 0.5777 0.9329 O
0.9407 0.1246 0.2079 O
```

Principal peaks in the range 5 to 70 degrees two-theta, low angle first:
hkl 0 0 1, 6.15 deg, rel. 95; hkl 0 1 -2, 15.99 deg, rel. 43; hkl 1 1 -1, 20.66 deg, rel. 39; hkl 1 -1 1, 21.20 deg, rel. 38; hkl 0 0 5, 31.11 deg, rel. 100; hkl 1 2 -3, 32.46 deg, rel. 59; hkl 2 0 -1, 32.89 deg, rel. 29; hkl 2 0 0, 33.04 deg, rel. 53; hkl -1 2 2, 33.35 deg, rel. 75; hkl 1 -2 3, 33.92 deg, rel. 44; hkl 2 2 -3, 43.17 deg, rel. 28; hkl 0 4 -1, 51.13 deg, rel. 42